For Mo11Ru4, a cell relaxed with PBE gives the simulated XRD peak list in this record (a wavelength of 1.5418 Å).
Lines closer than 0.1° are merged.

The 10 most intense peaks (15 to 90 degrees two-theta), in order of rising 2θ:
2θ (°), I_rel
36.16, 22
38.37, 86
39.53, 38
40.83, 30
41.94, 68
42.62, 100
43.68, 51
67.95, 17
69.48, 33
70.94, 17

Crystal structure
```
data_Mo11Ru4
_cell_length_a 9.6724
_cell_length_b 9.6724
_cell_length_c 4.9688
_cell_angle_alpha 90.00
_cell_angle_beta 90.00
_cell_angle_gamma 90.00
_space_group_name_H-M_alt 'P 42/m n m'
_space_group_IT_number 136
_space_group_name_Hall '-P 4n 2n'
loop_
_atom_site_label
_atom_site_fract_x
_atom_site_fract_y
_atom_site_fract_z
_atom_site_occupancy
Mo1 0.0000 0.0000 0.0000 1
Mo2 0.0374 0.3706 0.5000 1
Mo3 0.1047 0.1047 0.5000 1
Mo4 0.1804 0.8196 0.2516 1
Ru1 0.0692 0.2652 0.0000 1
```

For Mo3Ru2, a cell relaxed with PBE gives the simulated XRD peak list in this record (a wavelength of 1.5418 Å).
Lines closer than 0.1° are merged.

The 10 most intense peaks (15 to 90 degrees two-theta), in order of rising 2θ:
2θ (°), I_rel
36.21, 23
38.65, 91
39.82, 40
40.95, 29
42.06, 72
42.89, 100
43.96, 52
69.73, 23
71.52, 17
89.52, 16

Crystal structure
```
data_Mo3Ru2
_cell_length_a 9.6044
_cell_length_b 9.6044
_cell_length_c 4.9616
_cell_angle_alpha 90.00
_cell_angle_beta 90.00
_cell_angle_gamma 90.00
_space_group_name_H-M_alt 'P 42/m n m'
_space_group_IT_number 136
_space_group_name_Hall '-P 4n 2n'
loop_
_atom_site_label
_atom_site_fract_x
_atom_site_fract_y
_atom_site_fract_z
_atom_site_occupancy
Mo1 0.0000 0.0000 0.0000 1
Mo2 0.0374 0.3673 0.5000 1
Mo3 0.1786 0.8214 0.2510 1
Ru1 0.0710 0.2668 0.0000 1
Ru2 0.1026 0.1026 0.5000 1
```

For MoRu, a cell relaxed with PBE gives the simulated XRD peak list in this record (a wavelength of 1.5418 Å).
Lines closer than 0.1° are merged.

The 10 most intense peaks (15 to 90 degrees two-theta), in order of rising 2θ:
2θ (°), I_rel
37.47, 25
40.36, 26
42.76, 100
56.23, 12
67.53, 6
67.63, 11
75.03, 15
81.73, 13
81.87, 6
83.34, 10

Crystal structure
```
data_MoRu
_cell_length_a 10.1367
_cell_length_b 2.7742
_cell_length_c 4.7962
_cell_angle_alpha 90.00
_cell_angle_beta 118.14
_cell_angle_gamma 90.00
_space_group_name_H-M_alt 'C 1 2/m 1'
_space_group_IT_number 12
loop_
_space_group_symop_operation_xyz
'x,y,z'
'-x,-y,-z'
'-x,y,-z'
'x,-y,z'
'x+1/2,y+1/2,z'
'-x+1/2,-y+1/2,-z'
'-x+1/2,y+1/2,-z'
'x+1/2,-y+1/2,z'
loop_
_atom_site_label
_atom_site_fract_x
_atom_site_fract_y
_atom_site_fract_z
_atom_site_occupancy
Mo1 0.1169 0.0000 0.2830 1
Ru1 0.1301 0.5000 0.7958 1
```

For Mo3Ru2, a cell relaxed with PBE gives the simulated XRD peak list in this record (a wavelength of 1.5418 Å).
Lines closer than 0.1° are merged.

The 10 most intense peaks (15 to 90 degrees two-theta), in order of rising 2θ:
2θ (°), I_rel
38.50, 18
39.67, 100
39.82, 32
40.90, 30
41.61, 66
43.87, 18
48.62, 31
68.05, 16
73.90, 19
82.33, 11

Crystal structure
```
data_Mo3Ru2
_cell_length_a 9.3524
_cell_length_b 13.3333
_cell_length_c 4.9007
_cell_angle_alpha 90.00
_cell_angle_beta 90.00
_cell_angle_gamma 90.00
_space_group_name_H-M_alt 'F d d 2'
_space_group_IT_number 43
_space_group_name_Hall 'F 2 -2d'
loop_
_atom_site_label
_atom_site_fract_x
_atom_site_fract_y
_atom_site_fract_z
_atom_site_occupancy
Mo1 0.0000 0.0000 0.0000 1
Mo2 0.0572 0.1034 0.4795 1
Ru1 0.0303 0.1992 0.9389 1
```

For MoRu, a cell relaxed with PBE gives the simulated XRD peak list in this record (a wavelength of 1.5418 Å).
Lines closer than 0.1° are merged.

The 10 most intense peaks (15 to 90 degrees two-theta), in order of rising 2θ:
2θ (°), I_rel
37.45, 15
38.42, 18
40.40, 32
40.81, 18
42.20, 100
47.36, 12
56.98, 10
68.87, 15
74.70, 15
78.36, 12

Crystal structure
```
data_MoRu
_cell_length_a 2.8593
_cell_length_b 13.3951
_cell_length_c 4.6855
_cell_angle_alpha 90.00
_cell_angle_beta 90.00
_cell_angle_gamma 90.00
_space_group_name_H-M_alt 'A m m 2'
_space_group_IT_number 38
loop_
_space_group_symop_operation_xyz
'x,y,z'
'-x,-y,z'
'-x,y,z'
'x,-y,z'
'x,y+1/2,z+1/2'
'-x,-y+1/2,z+1/2'
'-x,y+1/2,z+1/2'
'x,-y+1/2,z+1/2'
loop_
_atom_site_label
_atom_site_fract_x
_atom_site_fract_y
_atom_site_fract_z
_atom_site_occupancy
Mo1 0.0000 0.0000 0.0000 1
Mo2 0.0000 0.1567 0.6456 1
Ru1 0.5000 0.0000 0.4901 1
Ru2 0.5000 0.1743 0.1338 1
```

For Mo5Ru3, a cell relaxed with PBE gives the simulated XRD peak list in this record (a wavelength of 1.5418 Å).
Lines closer than 0.1° are merged.

The 10 most intense peaks (15 to 90 degrees two-theta), in order of rising 2θ:
2θ (°), I_rel
36.08, 26
38.99, 55
39.54, 40
39.99, 39
40.88, 33
41.08, 28
41.31, 31
42.33, 33
42.76, 25
43.29, 100

Crystal structure
```
data_Mo5Ru3
_cell_length_a 4.9484
_cell_length_b 7.0471
_cell_length_c 7.5614
_cell_angle_alpha 86.88
_cell_angle_beta 76.43
_cell_angle_gamma 75.06
_space_group_name_H-M_alt 'P -1'
_space_group_IT_number 2
loop_
_space_group_symop_operation_xyz
'x,y,z'
'-x,-y,-z'
loop_
_atom_site_label
_atom_site_fract_x
_atom_site_fract_y
_atom_site_fract_z
_atom_site_occupancy
Mo1 0.0154 0.1824 0.1737 1
Mo2 0.1819 0.7891 0.1505 1
Mo3 0.2524 0.0026 0.5005 1
Mo4 0.3265 0.3456 0.6639 1
Mo5 0.4412 0.3339 0.2826 1
Ru1 0.1261 0.6475 0.4946 1
Ru2 0.2741 0.4403 0.9836 1
Ru3 0.3795 0.0241 0.8620 1
```